The following is a theoretical PXRD pattern of RbMnP. It was derived from the PBE geometry in the Materials Project, using Cu Kα (weighted mean of Kα1 and Kα2).
Peak positions follow from Bragg's law for the DFT cell and can differ from measured ones.

Principal peaks in the range 2θ = 5–70°, in order of falling intensity:
| two_theta | I (rel.) | index |
| --- | --- | --- |
| 7.7 | 1000 | 0 0 1 |
| 36.6 | 368 | 1 1 2 |
| 33.1 | 343 | 1 0 3 |
| 24.5 | 278 | 1 0 1 |
| 28.0 | 209 | 1 0 2 |
| 52.2 | 203 | 1 1 5 |
| 23.3 | 172 | 0 0 3 |
| 47.4 | 157 | 2 0 0 |
| 59.0 | 102 | 2 1 3 |
| 33.9 | 72 | 1 1 1 |

Atomic structure:
a = 3.8384 Å, b = 3.8384 Å, c = 11.4610 Å
α = 90.00°, β = 90.00°, γ = 90.00°
Space group P4/nmm (No. 129, origin choice 2)
Unique sites:
Rb1 0.2500 0.2500 0.2159 [2 per cell]
Mn1 0.2500 0.7500 0.5000 [2 per cell]
P1 0.2500 0.2500 0.6053 [2 per cell]